For Li4Ni3SbP4O16, a DFT-relaxed cell (PBE+U, the Materials Project) gives the simulated powder diffractogram in this record (copper Kα).
Intensities are scaled so that the largest is 100.

Structural model:
Unit cell a=4.7656 b=6.1912 c=10.4637 alpha=90.00 beta=90.66 gamma=90.00
Atoms (fractional coordinates):
Li 0.0000 0.2380 0.0000
Li 0.0000 0.7620 0.0000
Li 0.5062 0.2387 0.5158
Li 0.5062 0.7613 0.5158
Ni 0.0350 0.5000 0.7322
Ni 0.5262 0.0000 0.7807
Ni 0.9535 0.0000 0.2984
Sb 0.4856 0.5000 0.2254
P 0.0901 0.0000 0.6078
P 0.4197 0.0000 0.0866
P 0.5987 0.5000 0.9021
P 0.9217 0.5000 0.4305
O 0.2065 0.0000 0.4704
O 0.2276 0.2006 0.6784
O 0.2276 0.7994 0.6784
O 0.2440 0.5000 0.4298
O 0.2776 0.5000 0.9023
O 0.2800 0.2014 0.1514
O 0.2800 0.7986 0.1514
O 0.3030 0.0000 0.9464
O 0.7296 0.5000 0.0421
O 0.7334 0.2984 0.8359
O 0.7334 0.7016 0.8359
O 0.7392 0.0000 0.0978
O 0.7665 0.0000 0.6129
O 0.7888 0.3028 0.3558
O 0.7888 0.6972 0.3558
O 0.8006 0.5000 0.5669

Largest 8 diffraction maxima, low angle first, 2θ from 15° to 90°:
hkl 0 0 2, 2θ = 16.9°, intensity 61; hkl 1 0 -1, 2θ = 20.4°, intensity 39; hkl 1 1 -1, 2θ = 25.0°, intensity 75; hkl 1 1 1, 2θ = 25.1°, intensity 100; hkl 0 2 0, 2θ = 28.8°, intensity 93; hkl 1 1 -3, 2θ = 34.9°, intensity 68; hkl 1 1 3, 2θ = 35.2°, intensity 70; hkl 0 1 4, 2θ = 37.3°, intensity 33